Entry 1:
The following is a theoretical powder diffractogram of HoInCu. It was derived from a DFT-relaxed cell (GGA-PBE, the Materials Project), using a wavelength of 1.5418 Å.

Top 6 peaks for 2θ from 10° to 80°, in order of falling intensity:
33.08 deg, 2.708 Å, I = 100
35.98 deg, 2.496 Å, I = 74
36.98 deg, 2.431 Å, I = 50
67.78 deg, 1.382 Å, I = 24
60.30 deg, 1.535 Å, I = 23
56.60 deg, 1.626 Å, I = 23

Cell: 7.4261 7.4261 3.9585 Å, 90.00 90.00 120.00°
Space group P-62m (No. 189)
Unique sites:
Ho 0.0000 0.5895 0.0000 [3 per cell]
In 0.0000 0.2545 0.5000 [3 per cell]
Cu 0.0000 0.0000 0.0000 [1 per cell]
Cu 0.3333 0.6667 0.5000 [2 per cell]



Entry 2:
The following is a theoretical powder diffractogram of HoInCu2. It was derived from a DFT-relaxed cell (GGA-PBE, the Materials Project), using a wavelength of 1.5418 Å.

Top 6 peaks for 2θ from 10° to 80°, in order of falling intensity:
38.49 deg, 2.339 Å, I = 100
69.63 deg, 1.350 Å, I = 33
55.57 deg, 1.654 Å, I = 17
26.96 deg, 3.307 Å, I = 14
62.83 deg, 1.479 Å, I = 6
47.62 deg, 1.910 Å, I = 4

Cell: 6.615 6.615 6.615 Å, 90.00 90.00 90.00°
Space group Fm-3m (No. 225)
Unique sites:
Ho 0.000 0.000 0.000 [4 per cell]
In 0.000 0.000 0.500 [4 per cell]
Cu 0.250 0.250 0.250 [8 per cell]



Entry 3:
The following is a theoretical powder diffractogram of Ho2CuIr. It was derived from a DFT-relaxed cell (GGA-PBE, the Materials Project), using a wavelength of 1.5418 Å.

Top 6 peaks for 2θ from 10° to 80°, in order of falling intensity:
37.07 deg, 2.425 Å, I = 100
66.81 deg, 1.400 Å, I = 36
53.43 deg, 1.715 Å, I = 17
78.95 deg, 1.213 Å, I = 11
22.45 deg, 3.961 Å, I = 10
43.77 deg, 2.068 Å, I = 5

Cell: 6.860 6.860 6.860 Å, 90.00 90.00 90.00°
Space group Fm-3m (No. 225)
Unique sites:
Ho 0.250 0.250 0.250 [8 per cell]
Cu 0.000 0.000 0.000 [4 per cell]
Ir 0.000 0.000 0.500 [4 per cell]



Entry 4:
The following is a theoretical powder diffractogram of KHo2CuSe4. It was derived from a DFT-relaxed cell (GGA-PBE, the Materials Project), using a wavelength of 1.5418 Å.

Top 6 peaks for 2θ from 10° to 80°, in order of falling intensity:
31.59 deg, 2.832 Å, I = 100
14.06 deg, 6.300 Å, I = 80
43.43 deg, 2.084 Å, I = 73
29.64 deg, 3.014 Å, I = 59
22.54 deg, 3.944 Å, I = 49
33.78 deg, 2.653 Å, I = 45

Cell: 4.100 14.028 14.336 Å, 90.00 90.00 90.00°
Space group Cmcm (No. 63)
Unique sites:
K 0.000 0.113 0.250 [4 per cell]
Ho 0.000 0.366 0.065 [8 per cell]
Cu 0.000 0.160 0.750 [4 per cell]
Se 0.000 0.000 0.000 [4 per cell]
Se 0.000 0.265 0.611 [8 per cell]
Se 0.000 0.436 0.250 [4 per cell]



Entry 5:
The following is a theoretical powder diffractogram of LiHo2CuSi4O12. It was derived from a DFT-relaxed cell (GGA-PBE, the Materials Project), using a wavelength of 1.5418 Å.

Top 6 peaks for 2θ from 10° to 80°, in order of falling intensity:
28.04 deg, 3.182 Å, I = 100
12.54 deg, 7.057 Å, I = 76
18.11 deg, 4.898 Å, I = 55
25.27 deg, 3.524 Å, I = 49
31.49 deg, 2.841 Å, I = 44
30.98 deg, 2.886 Å, I = 44

Cell: 5.022 7.124 7.781 Å, 65.11 85.50 77.23°
Space group P1 (No. 1)
Unique sites:
Li 0.000 0.000 0.000 [1 per cell]
Ho 0.084 0.894 0.567 [1 per cell]
Ho 0.119 0.459 0.426 [1 per cell]
Cu 0.118 0.623 0.999 [1 per cell]
Si 0.520 0.090 0.776 [1 per cell]
Si 0.541 0.856 0.211 [1 per cell]
Si 0.656 0.496 0.775 [1 per cell]
Si 0.684 0.268 0.209 [1 per cell]
O 0.298 0.112 0.625 [1 per cell]
O 0.302 0.762 0.354 [1 per cell]
O 0.391 0.006 0.995 [1 per cell]
O 0.394 0.668 0.787 [1 per cell]
O 0.407 0.430 0.210 [1 per cell]
O 0.543 0.343 0.697 [1 per cell]
O 0.640 0.021 0.281 [1 per cell]
O 0.799 0.327 0.988 [1 per cell]
O 0.823 0.703 0.192 [1 per cell]
O 0.824 0.950 0.792 [1 per cell]
O 0.893 0.596 0.632 [1 per cell]
O 0.920 0.237 0.355 [1 per cell]



Entry 6:
The following is a theoretical powder diffractogram of LiHo2CuSi4O12. It was derived from a DFT-relaxed cell (GGA-PBE, the Materials Project), using a wavelength of 1.5418 Å.

Top 6 peaks for 2θ from 10° to 80°, in order of falling intensity:
27.61 deg, 3.231 Å, I = 100
12.64 deg, 7.004 Å, I = 89
17.55 deg, 5.054 Å, I = 45
31.56 deg, 2.835 Å, I = 42
21.33 deg, 4.165 Å, I = 40
22.03 deg, 4.035 Å, I = 39

Cell: 5.203 7.126 7.767 Å, 64.45 85.86 76.40°
Space group P1 (No. 1)
Unique sites:
Li 0.000 0.000 0.000 [1 per cell]
Ho 0.495 0.023 0.972 [1 per cell]
Ho 0.532 0.588 0.835 [1 per cell]
Cu 0.510 0.801 0.410 [1 per cell]
Si 0.073 0.609 0.192 [1 per cell]
Si 0.089 0.402 0.626 [1 per cell]
Si 0.935 0.207 0.198 [1 per cell]
Si 0.959 0.985 0.631 [1 per cell]
O 0.046 0.146 0.717 [1 per cell]
O 0.200 0.464 0.409 [1 per cell]
O 0.202 0.042 0.183 [1 per cell]
O 0.228 0.822 0.623 [1 per cell]
O 0.292 0.724 0.043 [1 per cell]
O 0.320 0.368 0.774 [1 per cell]
O 0.715 0.232 0.042 [1 per cell]
O 0.730 0.889 0.777 [1 per cell]
O 0.809 0.563 0.620 [1 per cell]
O 0.813 0.794 0.182 [1 per cell]
O 0.828 0.137 0.415 [1 per cell]
O 0.980 0.452 0.114 [1 per cell]



Entry 7:
The following is a theoretical powder diffractogram of LiHo2CuSi4O12. It was derived from a DFT-relaxed cell (GGA-PBE, the Materials Project), using a wavelength of 1.5418 Å.

Top 6 peaks for 2θ from 10° to 80°, in order of falling intensity:
27.82 deg, 3.207 Å, I = 100
12.40 deg, 7.140 Å, I = 75
30.72 deg, 2.910 Å, I = 54
18.19 deg, 4.877 Å, I = 48
14.10 deg, 6.280 Å, I = 47
33.91 deg, 2.644 Å, I = 47

Cell: 5.009 7.180 7.964 Å, 63.74 85.35 76.87°
Space group P-1 (No. 2)
Unique sites:
Li 0.000 0.000 0.000 [1 per cell]
Ho 0.488 0.215 0.572 [2 per cell]
Cu 0.500 0.000 0.000 [1 per cell]
Si 0.073 0.813 0.779 [2 per cell]
Si 0.081 0.596 0.213 [2 per cell]
O 0.018 0.359 0.276 [2 per cell]
O 0.194 0.012 0.214 [2 per cell]
O 0.196 0.228 0.796 [2 per cell]
O 0.204 0.692 0.997 [2 per cell]
O 0.303 0.915 0.632 [2 per cell]
O 0.311 0.556 0.365 [2 per cell]



Entry 8:
The following is a theoretical powder diffractogram of HoMg2Cu9. It was derived from a DFT-relaxed cell (GGA-PBE, the Materials Project), using a wavelength of 1.5418 Å.

Top 6 peaks for 2θ from 10° to 80°, in order of falling intensity:
42.56 deg, 2.124 Å, I = 100
10.94 deg, 8.089 Å, I = 45
42.17 deg, 2.143 Å, I = 41
44.82 deg, 2.022 Å, I = 29
69.20 deg, 1.358 Å, I = 28
26.42 deg, 3.373 Å, I = 25

Cell: 4.9925 4.9925 16.1775 Å, 90.00 90.00 120.00°
Space group P6_3/mmc (No. 194)
Unique sites:
Ho 0.3333 0.6667 0.2500 [2 per cell]
Mg 0.3333 0.6667 0.0329 [4 per cell]
Cu 0.0000 0.0000 0.0000 [2 per cell]
Cu 0.0000 0.0000 0.2500 [2 per cell]
Cu 0.1681 0.3361 0.6234 [12 per cell]
Cu 0.3333 0.6667 0.7500 [2 per cell]



Entry 9:
The following is a theoretical powder diffractogram of Ho2MgCu2. It was derived from a DFT-relaxed cell (GGA-PBE, the Materials Project), using a wavelength of 1.5418 Å.

Top 6 peaks for 2θ from 10° to 80°, in order of falling intensity:
36.05 deg, 2.491 Å, I = 100
34.04 deg, 2.634 Å, I = 30
37.00 deg, 2.429 Å, I = 23
50.42 deg, 1.810 Å, I = 21
16.32 deg, 5.432 Å, I = 21
25.93 deg, 3.436 Å, I = 21

Cell: 7.682 7.682 3.618 Å, 90.00 90.00 90.00°
Space group P4/mbm (No. 127)
Unique sites:
Ho 0.177 0.323 0.000 [4 per cell]
Mg 0.000 0.000 0.500 [2 per cell]
Cu 0.119 0.619 0.500 [4 per cell]



Entry 10:
The following is a theoretical powder diffractogram of HoCuO2. It was derived from a DFT-relaxed cell (GGA-PBE, the Materials Project), using a wavelength of 1.5418 Å.

Top 6 peaks for 2θ from 10° to 80°, in order of falling intensity:
31.03 deg, 2.882 Å, I = 100
36.05 deg, 2.492 Å, I = 48
15.48 deg, 5.724 Å, I = 36
51.75 deg, 1.767 Å, I = 28
31.25 deg, 2.862 Å, I = 25
52.05 deg, 1.757 Å, I = 25

Cell: 3.5330 3.5330 17.1716 Å, 90.00 90.00 120.00°
Space group R-3m (No. 166, hexagonal axes)
Unique sites:
Ho 0.0000 0.0000 0.0000 [3 per cell]
Cu 0.0000 0.0000 0.5000 [3 per cell]
O 0.0000 0.0000 0.3933 [6 per cell]



Entry 11:
The following is a theoretical powder diffractogram of Ho2CuO4. It was derived from a DFT-relaxed cell (GGA-PBE, the Materials Project), using a wavelength of 1.5418 Å.

Top 6 peaks for 2θ from 10° to 80°, in order of falling intensity:
32.39 deg, 2.764 Å, I = 100
58.13 deg, 1.587 Å, I = 40
32.68 deg, 2.741 Å, I = 37
46.88 deg, 1.938 Å, I = 24
24.16 deg, 3.683 Å, I = 20
57.58 deg, 1.601 Å, I = 18

Cell: 11.832 5.484 5.479 Å, 90.00 90.00 90.00°
Space group Cmce (No. 64)
Unique sites:
Ho 0.155 0.000 0.000 [8 per cell]
Cu 0.000 0.000 0.500 [4 per cell]
O 0.000 0.195 0.195 [8 per cell]
O 0.250 0.239 0.750 [8 per cell]



Entry 12:
The following is a theoretical powder diffractogram of HoCuO2. It was derived from a DFT-relaxed cell (GGA-PBE, the Materials Project), using a wavelength of 1.5418 Å.

Top 6 peaks for 2θ from 10° to 80°, in order of falling intensity:
33.17 deg, 2.701 Å, I = 100
15.41 deg, 5.751 Å, I = 35
51.76 deg, 1.766 Å, I = 26
56.67 deg, 1.624 Å, I = 26
43.18 deg, 2.095 Å, I = 26
31.10 deg, 2.875 Å, I = 24

Cell: 3.5324 3.5324 11.5014 Å, 90.00 90.00 120.00°
Space group P6_3/mmc (No. 194)
Unique sites:
Ho 0.0000 0.0000 0.0000 [2 per cell]
Cu 0.3333 0.6667 0.2500 [2 per cell]
O 0.3333 0.6667 0.0904 [4 per cell]